This entry pairs a crystal structure of CuHgSI with its computed powder X-ray diffraction pattern. Radiation: Cu Ka. Structure: a GGA-PBE-relaxed structure.

Most intense lines, 2θ from 10° to 80°, in order of falling intensity:
two_theta	I/Imax	index
30.00	100	1 1 2
24.70	53	2 0 0
27.40	52	1 2 1
33.98	43	1 3 0
24.28	28	1 2 0
45.70	24	1 2 3
16.11	24	1 1 0
43.23	24	3 2 0
27.77	19	2 0 1
20.87	19	0 2 0

Atomic structure:
```
data_CuHgSI
_chemical_formula_sum 'Cu4 Hg4 S4 I4'
_cell_length_a 7.2102
_cell_length_b 8.5118
_cell_length_c 7.0847
_cell_angle_alpha 90.00
_cell_angle_beta 90.00
_cell_angle_gamma 90.00
_space_group_name_H-M_alt 'P n a 21'
_space_group_IT_number 33
_space_group_name_Hall 'P 2c -2n'
loop_
_atom_site_label
_atom_site_type_symbol
_atom_site_fract_x
_atom_site_fract_y
_atom_site_fract_z
_atom_site_occupancy
Cu1 Cu 0.0814 0.1397 0.0000 1
Hg1 Hg 0.0320 0.5482 0.8885 1
S1 S 0.1130 0.6592 0.5795 1
I1 I 0.0861 0.1223 0.6140 1
```